Simulated powder diffractogram
Compound: TbPmSO2
Radiation: CuKα
Structure: the GGA-PBE geometry in OQMD
Neutral-atom scattering factors, no anomalous dispersion.

Crystal structure
```
data_TbPmSO2
_cell_length_a 3.8676
_cell_length_b 3.8676
_cell_length_c 6.6778
_cell_angle_alpha 90.00
_cell_angle_beta 90.00
_cell_angle_gamma 120.00
_space_group_name_H-M_alt 'P 3 m 1'
_space_group_IT_number 156
loop_
_space_group_symop_operation_xyz
'x,y,z'
'-y,x-y,z'
'-x+y,-x,z'
'-y,-x,z'
'-x+y,y,z'
'x,x-y,z'
loop_
_atom_site_label
_atom_site_fract_x
_atom_site_fract_y
_atom_site_fract_z
Tb1 0.0000 0.0000 0.0000
Pm1 0.6667 0.3333 0.4381
S1 0.3333 0.6667 0.7223
O1 0.0000 0.0000 0.3421
O2 0.6667 0.3333 0.0832
```

Top 10 peaks for 2θ = 15–90°, most intense first:
two_theta, I_rel, index
29.8, 100.0, 1 0 1
26.7, 42.2, 0 0 2
47.0, 31.1, 1 1 0
38.1, 30.1, 0 1 2
49.1, 24.5, 1 0 3
54.9, 21.5, 1 1 2
56.7, 16.9, 0 2 1
76.6, 14.1, 2 1 1
88.9, 9.2, 2 1 3
63.8, 8.8, 1 1 3